Calculated X-ray diffraction stick pattern of Fe6O7F6 for a wavelength of 1.5418 Å, from a DFT-relaxed cell (PBE+U, Alexandria).
Peak positions follow from Bragg's law for the DFT cell and can differ from measured ones.

Principal peaks in the range 5 to 70 degrees two-theta, by angle:
2theta, I/Imax, (hkl)
11.70, 100, 2 0 0
13.94, 58, 2 0 -1
23.93, 42, 1 1 0
29.25, 18, 3 1 0
29.48, 19, 2 0 -3
29.96, 21, 3 1 -1
32.72, 19, 4 0 2
42.50, 23, 4 0 -4
43.35, 19, 6 0 2
47.40, 19, 0 2 0
51.69, 10, 5 1 -4
65.53, 10, 4 2 -4

Structure:
a b c (Å): 15.3008 3.8362 9.3939
angles (deg): 90.00 98.69 90.00
Space group C2/m (No. 12)
Unique sites:
1 Fe 0.1099 0.0000 0.1011 [4 per cell]
2 Fe 0.1732 0.0000 0.4366 [4 per cell]
3 Fe 0.2417 0.0000 0.7706 [4 per cell]
4 O 0.0000 0.0000 0.0000 [2 per cell]
5 O 0.1371 0.5000 0.1184 [4 per cell]
6 O 0.2051 0.5000 0.4278 [4 per cell]
7 O 0.2292 0.0000 0.2389 [4 per cell]
8 F 0.0664 0.0000 0.3009 [4 per cell]
9 F 0.1315 0.0000 0.6236 [4 per cell]
10 F 0.1727 0.0000 0.9236 [4 per cell]



Calculated X-ray diffraction stick pattern of Fe6O5F7 for a wavelength of 1.5418 Å, from a DFT-relaxed cell (PBE+U, Alexandria).
Peak positions follow from Bragg's law for the DFT cell and can differ from measured ones.

Principal peaks in the range 5 to 70 degrees two-theta, by angle:
2theta, I/Imax, (hkl)
25.53, 100, 0 2 0
27.49, 86, 2 0 -2
35.24, 87, 1 1 2
37.87, 16, 2 2 -2
39.49, 15, 2 2 1
40.85, 15, 4 0 -1
51.58, 59, 1 3 2
52.46, 19, 0 4 0
53.77, 46, 1 1 -4
56.75, 14, 4 0 -4
61.46, 15, 4 0 2
66.70, 37, 1 3 -4

Structure:
a b c (Å): 8.8539 6.9769 7.1603
angles (deg): 90.00 112.12 90.00
Space group C2 (No. 5)
Unique sites:
1 Fe 0.0000 0.0000 0.0000 [2 per cell]
2 Fe 0.0000 0.0269 0.5000 [2 per cell]
3 Fe 0.1441 0.4949 0.6662 [4 per cell]
4 Fe 0.1672 0.4988 0.1528 [4 per cell]
5 O 0.0000 0.2996 0.5000 [2 per cell]
6 O 0.0560 0.5004 0.8715 [4 per cell]
7 O 0.1025 0.0017 0.8030 [4 per cell]
8 F 0.0000 0.7203 0.5000 [2 per cell]
9 F 0.1607 0.8164 0.1661 [4 per cell]
10 F 0.1633 0.1813 0.1680 [4 per cell]
11 F 0.2404 0.0048 0.5420 [4 per cell]



Calculated X-ray diffraction stick pattern of Fe5O3F7 for a wavelength of 1.5418 Å, from a DFT-relaxed cell (PBE+U, Alexandria).
Peak positions follow from Bragg's law for the DFT cell and can differ from measured ones.

Principal peaks in the range 5 to 70 degrees two-theta, by angle:
2theta, I/Imax, (hkl)
26.14, 91, 1 -1 0
26.53, 91, 1 1 0
34.23, 100, 1 0 5
39.07, 18, -1 1 5
39.34, 18, 1 1 -5
51.52, 55, 2 -1 5
51.96, 52, 1 2 -5
53.79, 17, 2 -2 0
54.63, 15, 2 2 0
59.02, 18, 0 0 10
65.65, 28, 0 3 -5
65.74, 23, 3 0 5

Structure:
a b c (Å): 4.7839 4.7888 15.6522
angles (deg): 90.08 90.02 90.82
Space group P1 (No. 1)
Unique sites:
1 Fe 0.0000 0.0000 0.0000 [1 per cell]
2 Fe 0.9998 0.0018 0.7962 [1 per cell]
3 Fe 0.4397 0.5236 0.5044 [1 per cell]
4 Fe 0.4551 0.4558 0.8978 [1 per cell]
5 Fe 0.4697 0.4772 0.0982 [1 per cell]
6 Fe 0.4763 0.4774 0.6983 [1 per cell]
7 Fe 0.4992 0.4466 0.2942 [1 per cell]
8 Fe 0.9284 0.9485 0.2057 [1 per cell]
9 Fe 0.9458 0.9496 0.5931 [1 per cell]
10 Fe 0.9673 0.9813 0.4012 [1 per cell]
11 O 0.1455 0.7849 0.4926 [1 per cell]
12 O 0.2977 0.3003 0.9999 [1 per cell]
13 O 0.3001 0.2973 0.7963 [1 per cell]
14 O 0.6428 0.6609 0.6009 [1 per cell]
15 O 0.6602 0.6598 0.1897 [1 per cell]
16 O 0.7893 0.1441 0.3021 [1 per cell]
17 F 0.1641 0.7709 0.1052 [1 per cell]
18 F 0.1664 0.7619 0.2997 [1 per cell]
19 F 0.1738 0.7643 0.6981 [1 per cell]
20 F 0.1955 0.7825 0.8982 [1 per cell]
21 F 0.2573 0.2516 0.1898 [1 per cell]
22 F 0.2571 0.2751 0.5986 [1 per cell]
23 F 0.2679 0.2839 0.4039 [1 per cell]
24 F 0.6562 0.6794 0.4031 [1 per cell]
25 F 0.6814 0.6841 0.9967 [1 per cell]
26 F 0.6842 0.6827 0.7994 [1 per cell]
27 F 0.7441 0.1931 0.4901 [1 per cell]
28 F 0.7653 0.1713 0.6937 [1 per cell]
29 F 0.7677 0.1677 0.1040 [1 per cell]
30 F 0.7823 0.1966 0.8982 [1 per cell]



Calculated X-ray diffraction stick pattern of Fe3O2F4 for a wavelength of 1.5418 Å, from a DFT-relaxed cell (PBE+U, Alexandria).
Peak positions follow from Bragg's law for the DFT cell and can differ from measured ones.

Principal peaks in the range 5 to 70 degrees two-theta, by angle:
2theta, I/Imax, (hkl)
26.03, 94, 0 6 0
26.90, 86, 2 0 0
34.34, 100, 1 3 1
37.78, 15, 2 6 0
39.04, 15, 0 6 1
39.65, 17, 2 0 1
51.47, 60, 1 9 1
52.46, 56, 3 3 1
53.54, 15, 0 12 0
55.45, 18, 4 0 0
59.16, 18, 0 0 2
66.02, 39, 3 9 1

Structure:
a b c (Å): 6.6282 20.5385 3.1235
angles (deg): 90.00 90.00 90.00
Space group Cmmm (No. 65)
Unique sites:
1 Fe 0.0000 0.0000 0.0000 [2 per cell]
2 Fe 0.0000 0.1723 0.5000 [4 per cell]
3 Fe 0.0000 0.3258 0.0000 [4 per cell]
4 Fe 0.0000 0.5000 0.5000 [2 per cell]
5 O 0.0000 0.2703 0.5000 [4 per cell]
6 O 0.2021 0.5000 0.0000 [4 per cell]
7 F 0.0000 0.0658 0.5000 [4 per cell]
8 F 0.0000 0.3961 0.5000 [4 per cell]
9 F 0.2055 0.1599 0.0000 [8 per cell]



Calculated X-ray diffraction stick pattern of Fe4OF7 for a wavelength of 1.5418 Å, from a DFT-relaxed cell (PBE+U, Alexandria).
Peak positions follow from Bragg's law for the DFT cell and can differ from measured ones.

Principal peaks in the range 5 to 70 degrees two-theta, by angle:
2theta, I/Imax, (hkl)
26.24, 100, 1 2 -1
33.24, 58, 0 0 2
38.29, 21, 2 2 0
42.07, 6, 1 4 -1
50.90, 33, 2 4 0
50.96, 33, 3 2 -1
54.00, 20, 2 4 -2
56.51, 11, 2 0 2
60.94, 5, 1 6 -1
63.34, 13, 3 2 1
64.83, 12, 1 6 1
64.98, 11, 4 0 -2

Structure:
a b c (Å): 5.7986 9.6176 5.7964
angles (deg): 90.00 111.65 90.00
Space group Pc (No. 7)
Unique sites:
1 Fe 0.0000 0.1229 0.0000 [2 per cell]
2 Fe 0.5045 0.1309 0.4830 [2 per cell]
3 Fe 0.5089 0.3688 0.0274 [2 per cell]
4 Fe 0.9872 0.3671 0.4929 [2 per cell]
5 O 0.6388 0.2802 0.3269 [2 per cell]
6 F 0.1464 0.2255 0.3445 [2 per cell]
7 F 0.1665 0.2821 0.8665 [2 per cell]
8 F 0.3475 0.0180 0.1364 [2 per cell]
9 F 0.3579 0.4713 0.6678 [2 per cell]
10 F 0.6507 0.2335 0.8477 [2 per cell]
11 F 0.8365 0.4740 0.1280 [2 per cell]
12 F 0.8540 0.0276 0.6496 [2 per cell]



Calculated X-ray diffraction stick pattern of Fe6O7F5 for a wavelength of 1.5418 Å, from a DFT-relaxed cell (PBE+U, Alexandria).
Peak positions follow from Bragg's law for the DFT cell and can differ from measured ones.

Principal peaks in the range 5 to 70 degrees two-theta, by angle:
2theta, I/Imax, (hkl)
25.23, 100, 0 0 2
28.20, 85, 0 2 0
35.14, 92, 3 1 1
38.20, 17, 0 2 2
39.12, 14, 3 0 2
41.18, 13, 3 2 0
51.18, 65, 3 1 3
51.81, 18, 0 0 4
54.52, 47, 3 3 1
58.32, 14, 0 4 0
60.97, 15, 6 0 0
67.07, 49, 3 3 3

Structure:
a b c (Å): 9.1171 6.3291 7.0585
angles (deg): 90.00 90.00 90.00
Space group Amm2 (No. 38)
Unique sites:
1 Fe 0.0000 0.0000 0.0000 [2 per cell]
2 Fe 0.1572 0.0000 0.4701 [4 per cell]
3 Fe 0.3340 0.0000 0.9780 [4 per cell]
4 Fe 0.5000 0.0000 0.4832 [2 per cell]
5 O 0.0000 0.0000 0.2945 [2 per cell]
6 O 0.1682 0.1950 0.9833 [8 per cell]
7 O 0.5000 0.1989 0.9791 [4 per cell]
8 F 0.0000 0.0000 0.6740 [2 per cell]
9 F 0.3318 0.0000 0.6712 [4 per cell]
10 F 0.3347 0.0000 0.2882 [4 per cell]



Calculated X-ray diffraction stick pattern of Fe5O8F2 for a wavelength of 1.5418 Å, from a DFT-relaxed cell (PBE+U, Alexandria).
Peak positions follow from Bragg's law for the DFT cell and can differ from measured ones.

Principal peaks in the range 5 to 70 degrees two-theta, by angle:
2theta, I/Imax, (hkl)
26.26, 100, 1 1 2
27.89, 95, -1 1 2
35.45, 52, 0 1 -3
35.63, 50, 0 3 1
38.68, 19, 2 0 0
52.42, 29, 1 0 5
52.81, 29, 2 3 1
54.05, 16, 2 2 4
54.39, 27, -2 3 1
54.52, 27, 2 1 -3
61.69, 16, 0 4 -2
67.81, 19, 3 -2 1

Structure:
a b c (Å): 4.6626 7.5943 9.8141
angles (deg): 70.21 86.67 88.23
Space group P-1 (No. 2)
Unique sites:
1 Fe 0.0000 0.0000 0.0000 [1 per cell]
2 Fe 0.0040 0.5967 0.2041 [2 per cell]
3 Fe 0.0109 0.1982 0.4059 [2 per cell]
4 Fe 0.4714 0.2952 0.0871 [2 per cell]
5 Fe 0.4750 0.0917 0.6908 [2 per cell]
6 Fe 0.5000 0.5000 0.5000 [1 per cell]
7 O 0.1767 0.2379 0.9683 [2 per cell]
8 O 0.1853 0.4365 0.3750 [2 per cell]
9 O 0.1891 0.0282 0.5788 [2 per cell]
10 O 0.2998 0.3367 0.6753 [2 per cell]
11 O 0.3045 0.1417 0.2733 [2 per cell]
12 O 0.3092 0.5387 0.0791 [2 per cell]
13 O 0.3087 0.9377 0.8809 [2 per cell]
14 O 0.3110 0.7385 0.4788 [2 per cell]
15 F 0.1990 0.6405 0.7808 [2 per cell]
16 F 0.2053 0.8418 0.1826 [2 per cell]



Calculated X-ray diffraction stick pattern of Fe6O5F7 for a wavelength of 1.5418 Å, from a DFT-relaxed cell (PBE+U, Alexandria).
Peak positions follow from Bragg's law for the DFT cell and can differ from measured ones.

Principal peaks in the range 5 to 70 degrees two-theta, by angle:
2theta, I/Imax, (hkl)
25.13, 100, 1 1 2
27.67, 79, 1 -1 0
34.51, 44, 0 1 -2
34.64, 43, 2 1 0
37.73, 15, 2 0 2
50.63, 46, 1 0 4
50.71, 15, 0 1 4
51.59, 16, 2 2 4
53.38, 21, 1 -2 2
53.65, 21, 3 0 0
65.97, 18, 2 -1 4
66.21, 18, 4 1 2

Structure:
a b c (Å): 5.6942 5.7082 7.7315
angles (deg): 69.47 69.21 68.87
Space group P1 (No. 1)
Unique sites:
1 Fe 0.0000 0.0000 0.0000 [1 per cell]
2 Fe 0.0068 0.9481 0.4756 [1 per cell]
3 Fe 0.3022 0.3019 0.6636 [1 per cell]
4 Fe 0.3328 0.2732 0.1495 [1 per cell]
5 Fe 0.6299 0.6572 0.3166 [1 per cell]
6 Fe 0.6479 0.6518 0.8234 [1 per cell]
7 O 0.0989 0.0722 0.2020 [1 per cell]
8 O 0.2782 0.6422 0.5018 [1 per cell]
9 O 0.3433 0.9536 0.8256 [1 per cell]
10 O 0.6486 0.0132 0.1413 [1 per cell]
11 O 0.9509 0.3454 0.8223 [1 per cell]
12 F 0.0347 0.6104 0.1473 [1 per cell]
13 F 0.2188 0.1941 0.4483 [1 per cell]
14 F 0.4226 0.4196 0.8587 [1 per cell]
15 F 0.5411 0.5379 0.1101 [1 per cell]
16 F 0.6762 0.2562 0.5007 [1 per cell]
17 F 0.7438 0.7453 0.5329 [1 per cell]
18 F 0.8780 0.8743 0.7730 [1 per cell]



Calculated X-ray diffraction stick pattern of Fe3O2F4 for a wavelength of 1.5418 Å, from a DFT-relaxed cell (PBE+U, Alexandria).
Peak positions follow from Bragg's law for the DFT cell and can differ from measured ones.

Principal peaks in the range 5 to 70 degrees two-theta, by angle:
2theta, I/Imax, (hkl)
25.50, 100, 2 0 -2
27.08, 96, 0 2 0
34.38, 54, 1 1 2
34.39, 54, 3 1 0
38.78, 20, 4 0 -1
39.88, 18, 2 2 1
50.90, 34, 1 1 -4
50.94, 33, 5 1 -2
52.39, 23, 4 0 -4
52.70, 54, 1 3 2
59.46, 18, 4 0 2
65.73, 47, 1 3 -4

Structure:
a b c (Å): 9.3487 6.5847 7.6482
angles (deg): 90.00 114.32 90.00
Space group C2 (No. 5)
Unique sites:
1 Fe 0.0000 0.0000 0.0000 [2 per cell]
2 Fe 0.0000 0.0059 0.5000 [2 per cell]
3 Fe 0.1566 0.5016 0.1604 [4 per cell]
4 Fe 0.1665 0.4678 0.6661 [4 per cell]
5 O 0.0000 0.2949 0.0000 [2 per cell]
6 O 0.0000 0.6982 0.0000 [2 per cell]
7 O 0.1700 0.1669 0.6659 [4 per cell]
8 F 0.0685 0.4853 0.3614 [4 per cell]
9 F 0.0905 0.9856 0.2930 [4 per cell]
10 F 0.1639 0.7816 0.6612 [4 per cell]
11 F 0.2257 0.9903 0.0250 [4 per cell]



Calculated X-ray diffraction stick pattern of Fe5O2F8 for a wavelength of 1.5418 Å, from a DFT-relaxed cell (PBE+U, Alexandria).
Peak positions follow from Bragg's law for the DFT cell and can differ from measured ones.

Principal peaks in the range 5 to 70 degrees two-theta, by angle:
2theta, I/Imax, (hkl)
26.36, 100, 1 1 -2
33.10, 14, 0 0 5
33.42, 14, -1 1 3
33.72, 14, 1 1 3
33.99, 15, 0 2 1
50.54, 8, 1 1 -7
50.77, 15, 2 0 -5
51.84, 8, 2 2 1
52.01, 8, 1 3 -1
54.26, 18, 2 -2 4
57.23, 10, 0 2 6
64.45, 8, 0 2 -9

Structure:
a b c (Å): 4.7775 5.6958 13.7898
angles (deg): 101.12 90.38 90.30
Space group P-1 (No. 2)
Unique sites:
1 Fe 0.0000 0.0000 0.0000 [1 per cell]
2 Fe 0.0202 0.1804 0.6073 [2 per cell]
3 Fe 0.0383 0.4056 0.1857 [2 per cell]
4 Fe 0.4757 0.0890 0.7933 [2 per cell]
5 Fe 0.4802 0.6997 0.5999 [2 per cell]
6 Fe 0.5000 0.5000 0.0000 [1 per cell]
7 O 0.2129 0.2992 0.0465 [2 per cell]
8 O 0.2901 0.0077 0.6558 [2 per cell]
9 F 0.1781 0.4993 0.6626 [2 per cell]
10 F 0.1857 0.1229 0.4664 [2 per cell]
11 F 0.1919 0.9237 0.8686 [2 per cell]
12 F 0.2009 0.7405 0.2654 [2 per cell]
13 F 0.2940 0.8088 0.0646 [2 per cell]
14 F 0.2961 0.6206 0.4523 [2 per cell]
15 F 0.3075 0.4314 0.8624 [2 per cell]
16 F 0.3091 0.2382 0.2608 [2 per cell]